No. 1
Calculated powder XRD pattern of Pm5Dy2Ga4 for Cu Kα (λ = 1.5418 Å), from DFT lattice parameters and positions (GGA-PBE).

Peak list (10 most intense, 2θ from 15° to 90°, most intense first)
| 2θ (°) | Rel. int. | hkl |
| --- | --- | --- |
| 27.53 | 100.0 | 1 0 3 |
| 31.05 | 84.1 | 0 3 3 |
| 33.36 | 77.2 | 1 3 2 |
| 30.51 | 72.9 | 1 3 0 |
| 40.85 | 70.0 | 1 3 4 |
| 38.42 | 59.2 | 2 0 0 |
| 25.60 | 54.1 | 1 2 1 |
| 34.26 | 46.0 | 0 1 5 |
| 50.19 | 44.1 | 2 3 3 |
| 20.06 | 38.1 | 1 0 1 |

Structure:
abc: 4.6865 11.2621 13.4534
angles: 90.00 90.00 90.00
Space group Immm (No. 71)
One atom of each set of equivalent atoms:
1 Pm 0.0000 0.0000 0.0000 (multiplicity 2)
2 Pm 0.0000 0.1687 0.3520 (multiplicity 8)
3 Dy 0.0000 0.5000 0.3036 (multiplicity 4)
4 Ga 0.0000 0.3589 0.5000 (multiplicity 4)
5 Ga 0.0000 0.5000 0.0923 (multiplicity 4)

No. 2
Calculated powder XRD pattern of PmPr6Dy4 for Cu Kα (λ = 1.5418 Å), from DFT lattice parameters and positions (GGA-PBE).

Peak list (10 most intense, 2θ from 15° to 90°, most intense first)
| 2θ (°) | Rel. int. | hkl |
| --- | --- | --- |
| 32.06 | 100.0 | 2 2 0 |
| 30.91 | 83.7 | 2 0 1 |
| 34.94 | 34.8 | 2 1 1 |
| 61.15 | 31.5 | 2 2 2 |
| 29.47 | 28.0 | 1 1 1 |
| 45.14 | 20.1 | 4 0 1 |
| 27.68 | 19.6 | 3 0 0 |
| 56.44 | 14.6 | 4 2 1 |
| 50.07 | 14.2 | 4 1 1 |
| 53.77 | 13.9 | 5 0 1 |

Structure:
abc: 11.1656 11.1656 3.6098
angles: 90.00 90.00 120.00
Space group P-6m2 (No. 187)
One atom of each set of equivalent atoms:
1 Pm 0.0000 0.0000 0.0000 (multiplicity 1)
2 Pr 0.1824 0.3649 0.5000 (multiplicity 3)
3 Pr 0.5264 0.0528 0.0000 (multiplicity 3)
4 Dy 0.3197 0.1599 0.5000 (multiplicity 3)
5 Dy 0.3333 0.6667 0.0000 (multiplicity 1)